# 1
Theoretical XRD peak list of Pm16Sm7Y6 for Cu Kα (λ = 1.5418 Å), from a structure optimized by DFT (GGA-PBE).
Neutral-atom scattering factors, no anomalous dispersion.

Principal peaks in the range 15 to 90 degrees two-theta, low angle first:
2θ (°), d/Å, intensity
28.95, 3.084, 11
31.58, 2.833, 100
33.07, 2.709, 9
45.26, 2.003, 14
51.98, 1.759, 6
56.24, 1.636, 26
65.94, 1.417, 7
74.95, 1.267, 7

Structure:
```
data_Pm16Sm7Y6
_cell_length_a 16.0268
_cell_length_b 16.0268
_cell_length_c 16.0268
_cell_angle_alpha 90.00
_cell_angle_beta 90.00
_cell_angle_gamma 90.00
_symmetry_space_group_name_H-M 'F m -3 m'
_symmetry_Int_Tables_number 225
_symmetry_space_group_name_Hall '-F 4 2 3'
loop_
_atom_site_label
_atom_site_fract_x
_atom_site_fract_y
_atom_site_fract_z
Pm1 0.1248 0.1248 0.1248
Pm2 0.1516 0.1516 0.3484
Sm1 0.0000 0.0000 0.0000
Sm2 0.0000 0.2500 0.2500
Y1 0.0000 0.0000 0.2698
```


# 2
Theoretical XRD peak list of PmSm6Y2 for Cu Kα (λ = 1.5418 Å), from a structure optimized by DFT (GGA-PBE).
Neutral-atom scattering factors, no anomalous dispersion.

Principal peaks in the range 15 to 90 degrees two-theta, low angle first:
2θ (°), d/Å, intensity
19.75, 4.496, 17
28.74, 3.106, 16
31.00, 2.885, 100
31.92, 2.804, 13
36.48, 2.463, 17
40.11, 2.248, 28
44.17, 2.050, 13
48.39, 1.881, 20

Structure:
```
data_PmSm6Y2
_cell_length_a 7.5239
_cell_length_b 7.5239
_cell_length_c 6.2117
_cell_angle_alpha 90.00
_cell_angle_beta 90.00
_cell_angle_gamma 120.00
_symmetry_space_group_name_H-M 'P -3 m 1'
_symmetry_Int_Tables_number 164
_symmetry_space_group_name_Hall '-P 3 2"'
loop_
_atom_site_label
_atom_site_fract_x
_atom_site_fract_y
_atom_site_fract_z
Pm1 0.0000 0.0000 0.0000
Sm1 0.1875 0.3751 0.7066
Y1 0.3333 0.6667 0.2120
```


# 3
Theoretical XRD peak list of Pm6Sm12Y for Cu Kα (λ = 1.5418 Å), from a structure optimized by DFT (GGA-PBE).
Neutral-atom scattering factors, no anomalous dispersion.

Principal peaks in the range 15 to 90 degrees two-theta, low angle first:
2θ (°), d/Å, intensity
30.44, 2.937, 40
30.87, 2.897, 26
31.08, 2.878, 100
32.43, 2.761, 68
32.73, 2.736, 26
34.27, 2.617, 15
44.25, 2.047, 14
54.21, 1.692, 19

Structure:
```
data_Pm6Sm12Y
_cell_length_a 12.1990
_cell_length_b 12.1990
_cell_length_c 15.2852
_cell_angle_alpha 90.00
_cell_angle_beta 90.00
_cell_angle_gamma 120.00
_symmetry_space_group_name_H-M 'R -3'
_symmetry_Int_Tables_number 148
_symmetry_space_group_name_Hall '-R 3'
loop_
_atom_site_label
_atom_site_fract_x
_atom_site_fract_y
_atom_site_fract_z
Pm1 0.0120 0.4221 0.1842
Sm1 0.0058 0.8315 0.6905
Sm2 0.0462 0.8520 0.9165
Y1 0.0000 0.0000 0.5000
```


# 4
Theoretical XRD peak list of Pm4Sm2Y for Cu Kα (λ = 1.5418 Å), from a structure optimized by DFT (GGA-PBE).
Neutral-atom scattering factors, no anomalous dispersion.

Principal peaks in the range 15 to 90 degrees two-theta, low angle first:
2θ (°), d/Å, intensity
29.25, 3.053, 100
30.86, 2.897, 66
33.24, 2.695, 55
34.04, 2.633, 16
47.74, 1.905, 12
56.95, 1.617, 16
57.90, 1.593, 11
60.32, 1.534, 19

Structure:
```
data_Pm4Sm2Y
_cell_length_a 5.3922
_cell_length_b 11.4712
_cell_length_c 15.6402
_cell_angle_alpha 90.00
_cell_angle_beta 90.00
_cell_angle_gamma 90.00
_symmetry_space_group_name_H-M 'C m c e'
_symmetry_Int_Tables_number 64
_symmetry_space_group_name_Hall '-C 2ac 2'
loop_
_atom_site_label
_atom_site_fract_x
_atom_site_fract_y
_atom_site_fract_z
Pm1 0.0000 0.1010 0.1943
Pm2 0.0000 0.2052 0.4295
Sm1 0.0000 0.1062 0.6567
Y1 0.0000 0.0000 0.0000
```


# 5
Theoretical XRD peak list of Pm4SmY7 for Cu Kα (λ = 1.5418 Å), from a structure optimized by DFT (GGA-PBE).
Neutral-atom scattering factors, no anomalous dispersion.

Principal peaks in the range 15 to 90 degrees two-theta, low angle first:
2θ (°), d/Å, intensity
30.08, 2.971, 35
30.74, 2.909, 39
31.34, 2.855, 100
31.77, 2.816, 51
31.95, 2.801, 34
32.25, 2.776, 17
46.16, 1.967, 13
56.35, 1.633, 16

Structure:
```
data_Pm4SmY7
_cell_length_a 6.6020
_cell_length_b 6.8849
_cell_length_c 9.1608
_cell_angle_alpha 85.30
_cell_angle_beta 76.99
_cell_angle_gamma 81.82
_symmetry_space_group_name_H-M 'P -1'
_symmetry_Int_Tables_number 2
loop_
_symmetry_equiv_pos_as_xyz
'x,y,z'
'-x,-y,-z'
loop_
_atom_site_label
_atom_site_fract_x
_atom_site_fract_y
_atom_site_fract_z
Pm1 0.1405 0.3148 0.2838
Pm2 0.3361 0.8828 0.6931
Sm1 0.5000 0.5000 0.0000
Y1 0.0118 0.2508 0.9508
Y2 0.1777 0.8082 0.3611
Y3 0.3138 0.3923 0.6165
Y4 0.5000 0.0000 0.0000
```


# 6
Theoretical XRD peak list of Pm2Sm6Zn for Cu Kα (λ = 1.5418 Å), from a structure optimized by DFT (GGA-PBE).
Neutral-atom scattering factors, no anomalous dispersion.

Principal peaks in the range 15 to 90 degrees two-theta, low angle first:
2θ (°), d/Å, intensity
30.47, 2.934, 18
31.41, 2.848, 100
31.79, 2.815, 59
32.48, 2.757, 41
45.82, 1.980, 19
56.40, 1.631, 15
57.27, 1.609, 13
57.51, 1.603, 11

Structure:
```
data_Pm2Sm6Zn
_cell_length_a 9.9831
_cell_length_b 10.3958
_cell_length_c 5.5134
_cell_angle_alpha 90.00
_cell_angle_beta 90.00
_cell_angle_gamma 90.00
_symmetry_space_group_name_H-M 'P n n m'
_symmetry_Int_Tables_number 58
loop_
_symmetry_equiv_pos_as_xyz
'x,y,z'
'-x,-y,-z'
'-x,-y,z'
'x,y,-z'
'x+1/2,-y+1/2,-z+1/2'
'-x+1/2,y+1/2,z+1/2'
'-x+1/2,y+1/2,-z+1/2'
'x+1/2,-y+1/2,z+1/2'
loop_
_atom_site_label
_atom_site_fract_x
_atom_site_fract_y
_atom_site_fract_z
Pm1 0.1904 0.2464 0.0000
Sm1 0.0169 0.3081 0.5000
Sm2 0.1337 0.8956 0.0000
Sm3 0.1912 0.5705 0.0000
Zn1 0.0000 0.0000 0.5000
```


# 7
Theoretical XRD peak list of Pm9Sm4Zn11 for Cu Kα (λ = 1.5418 Å), from a structure optimized by DFT (GGA-PBE).
Neutral-atom scattering factors, no anomalous dispersion.

Principal peaks in the range 15 to 90 degrees two-theta, low angle first:
2θ (°), d/Å, intensity
25.05, 3.555, 30
33.01, 2.713, 28
33.82, 2.650, 100
34.24, 2.619, 91
35.31, 2.542, 96
61.34, 1.511, 27
62.96, 1.476, 32
63.73, 1.460, 28

Structure:
```
data_Pm9Sm4Zn11
_cell_length_a 15.4954
_cell_length_b 21.8057
_cell_length_c 3.5549
_cell_angle_alpha 90.00
_cell_angle_beta 90.00
_cell_angle_gamma 90.00
_symmetry_space_group_name_H-M 'C m m m'
_symmetry_Int_Tables_number 65
_symmetry_space_group_name_Hall '-C 2 2'
loop_
_atom_site_label
_atom_site_fract_x
_atom_site_fract_y
_atom_site_fract_z
Pm1 0.0000 0.0000 0.0000
Pm2 0.1163 0.2381 0.0000
Pm3 0.1158 0.4103 0.0000
Sm1 0.1629 0.0891 0.0000
Zn1 0.0000 0.1328 0.5000
Zn2 0.0000 0.3259 0.5000
Zn3 0.0000 0.5000 0.5000
Zn4 0.2275 0.5000 0.5000
Zn5 0.2345 0.3194 0.5000
```


# 8
Theoretical XRD peak list of PmSm4Zn4 for Cu Kα (λ = 1.5418 Å), from a structure optimized by DFT (GGA-PBE).
Neutral-atom scattering factors, no anomalous dispersion.

Principal peaks in the range 15 to 90 degrees two-theta, low angle first:
2θ (°), d/Å, intensity
26.88, 3.317, 100
29.14, 3.064, 60
32.72, 2.737, 34
34.82, 2.577, 47
37.75, 2.383, 90
42.26, 2.138, 19
46.02, 1.972, 35
64.37, 1.447, 18

Structure:
```
data_PmSm4Zn4
_cell_length_a 9.6901
_cell_length_b 9.6901
_cell_length_c 5.1534
_cell_angle_alpha 90.00
_cell_angle_beta 90.00
_cell_angle_gamma 90.00
_symmetry_space_group_name_H-M 'I 4/m'
_symmetry_Int_Tables_number 87
_symmetry_space_group_name_Hall '-I 4'
loop_
_atom_site_label
_atom_site_fract_x
_atom_site_fract_y
_atom_site_fract_z
Pm1 0.0000 0.0000 0.0000
Sm1 0.1116 0.3453 0.0000
Zn1 0.0747 0.1775 0.5000
```


# 9
Theoretical XRD peak list of Pm14SmZr for Cu Kα (λ = 1.5418 Å), from a structure optimized by DFT (GGA-PBE).
Neutral-atom scattering factors, no anomalous dispersion.

Principal peaks in the range 15 to 90 degrees two-theta, low angle first:
2θ (°), d/Å, intensity
30.26, 2.954, 100
35.08, 2.558, 51
50.46, 1.809, 36
59.97, 1.542, 42
62.94, 1.477, 12
82.12, 1.174, 17
84.70, 1.144, 11
84.83, 1.143, 5

Structure:
```
data_Pm14SmZr
_cell_length_a 10.2188
_cell_length_b 10.2379
_cell_length_c 10.2381
_cell_angle_alpha 90.00
_cell_angle_beta 90.00
_cell_angle_gamma 90.00
_symmetry_space_group_name_H-M 'A m m 2'
_symmetry_Int_Tables_number 38
loop_
_symmetry_equiv_pos_as_xyz
'x,y,z'
'-x,-y,z'
'-x,y,z'
'x,-y,z'
'x,y+1/2,z+1/2'
'-x,-y+1/2,z+1/2'
'-x,y+1/2,z+1/2'
'x,-y+1/2,z+1/2'
loop_
_atom_site_label
_atom_site_fract_x
_atom_site_fract_y
_atom_site_fract_z
Pm1 0.0000 0.0000 0.0000
Pm2 0.0000 0.0000 0.4995
Pm3 0.0000 0.2502 0.2498
Pm4 0.2564 0.0000 0.7438
Pm5 0.2564 0.2442 0.4997
Pm6 0.2565 0.0000 0.2556
Pm7 0.5000 0.2499 0.2497
Sm1 0.5000 0.0000 0.9994
Zr1 0.5000 0.0000 0.5000
```


# 10
Theoretical XRD peak list of Pm5Sn2 for Cu Kα (λ = 1.5418 Å), from a structure optimized by DFT (GGA-PBE).
Neutral-atom scattering factors, no anomalous dispersion.

Principal peaks in the range 15 to 90 degrees two-theta, low angle first:
2θ (°), d/Å, intensity
29.19, 3.059, 100
30.68, 2.914, 43
33.59, 2.668, 83
38.37, 2.346, 30
38.80, 2.321, 30
49.91, 1.827, 21
50.26, 1.815, 22
55.70, 1.650, 24

Structure:
```
data_Pm5Sn2
_cell_length_a 4.6918
_cell_length_b 40.7995
_cell_length_c 4.6417
_cell_angle_alpha 90.00
_cell_angle_beta 90.00
_cell_angle_gamma 90.00
_symmetry_space_group_name_H-M 'C m c m'
_symmetry_Int_Tables_number 63
_symmetry_space_group_name_Hall '-C 2c 2'
loop_
_atom_site_label
_atom_site_fract_x
_atom_site_fract_y
_atom_site_fract_z
Pm1 0.0000 0.0349 0.2500
Pm2 0.0000 0.1749 0.7500
Pm3 0.0000 0.2497 0.2500
Pm4 0.0000 0.3886 0.7500
Pm5 0.0000 0.4611 0.2500
Sn1 0.0000 0.0963 0.7500
Sn2 0.0000 0.3095 0.7500
```


# 11
Theoretical XRD peak list of Pm4Sn3 for Cu Kα (λ = 1.5418 Å), from a structure optimized by DFT (GGA-PBE).
Neutral-atom scattering factors, no anomalous dispersion.

Principal peaks in the range 15 to 90 degrees two-theta, low angle first:
2θ (°), d/Å, intensity
29.61, 3.017, 100
35.19, 2.550, 64
46.63, 1.948, 17
48.66, 1.871, 25
59.74, 1.548, 26
61.46, 1.509, 12
63.15, 1.472, 15
72.84, 1.298, 17

Structure:
```
data_Pm4Sn3
_cell_length_a 9.5419
_cell_length_b 9.5419
_cell_length_c 9.5419
_cell_angle_alpha 90.00
_cell_angle_beta 90.00
_cell_angle_gamma 90.00
_symmetry_space_group_name_H-M 'I -4 3 d'
_symmetry_Int_Tables_number 220
_symmetry_space_group_name_Hall 'I -4bd 2c 3'
loop_
_atom_site_label
_atom_site_fract_x
_atom_site_fract_y
_atom_site_fract_z
Pm1 0.0696 0.0696 0.0696
Sn1 0.0000 0.2500 0.3750
```


Q: Which formula does entry 9 have?
A: Pm14SmZr